Structure and computed XRD peak list of CdTc2H (a DFT-relaxed cell (GGA-PBE, Alexandria); λ = 1.5418 Å (Cu Kα)).

Structural model:
a b c (Å): 5.0259 5.0259 9.4074
angles (deg): 90.00 90.00 90.00
Space group I4_1/amd (No. 141, origin choice 2)
One atom of each set of equivalent atoms:
Cd 0.0000 0.2500 0.3750
Tc 0.0000 0.0000 0.0000
H 0.0000 0.2500 0.8750

Largest 12 diffraction maxima, in order of falling intensity, 10° ≤ 2θ ≤ 90°:
two_theta, I (rel.), (hkl)
41.30, 100, 2 1 1
33.69, 89, 1 0 3
40.71, 65, 2 0 2
31.55, 44, 1 1 2
65.88, 37, 2 2 4
51.89, 25, 1 0 5
67.99, 22, 3 2 1
35.73, 16, 2 0 0
62.90, 14, 3 0 3
89.71, 13, 4 2 2
83.88, 12, 2 1 7
75.70, 12, 4 0 0


Structure and computed XRD peak list of Cd2TcH5 (a DFT-relaxed cell (GGA-PBE, Alexandria); λ = 1.5418 Å (Cu Kα)).

Structural model:
a b c (Å): 7.1976 7.6405 4.0130
angles (deg): 90.00 123.77 90.00
Space group Cm (No. 8)
One atom of each set of equivalent atoms:
Cd 0.0000 0.2362 0.0000
Tc 0.1481 0.0000 0.6479
H 0.1299 0.2304 0.6293
H 0.3965 0.5000 0.2178
H 0.3968 0.5000 0.5775
H 0.4552 0.0000 0.9532

Largest 12 diffraction maxima, in order of falling intensity, 10° ≤ 2θ ≤ 90°:
two_theta, I (rel.), (hkl)
35.75, 100, 0 2 1
26.75, 43, 2 0 -1
18.84, 38, 1 1 0
38.21, 35, 2 2 0
29.87, 24, 2 0 0
51.14, 22, 2 0 1
45.19, 16, 2 0 -2
23.28, 13, 0 2 0
47.61, 13, 0 4 0
77.23, 11, 2 2 -3
25.07, 11, 1 1 -1
39.37, 10, 1 1 1


Structure and computed XRD peak list of CdTcH (a DFT-relaxed cell (GGA-PBE, Alexandria); λ = 1.5418 Å (Cu Kα)).

Structural model:
a b c (Å): 3.1622 4.7882 5.7156
angles (deg): 89.10 74.13 70.86
Space group P-1 (No. 2)
One atom of each set of equivalent atoms:
Cd 0.2118 0.2076 0.3705
Tc 0.0861 0.7497 0.0796
H 0.3676 0.4239 0.8400

Largest 12 diffraction maxima, in order of falling intensity, 10° ≤ 2θ ≤ 90°:
two_theta, I (rel.), (hkl)
41.79, 100, 1 -1 1
36.98, 99, 0 1 -2
40.00, 80, 0 2 0
39.87, 78, 0 1 2
38.43, 60, 1 1 -1
39.42, 55, 1 0 -1
39.59, 54, 1 1 2
31.33, 52, 1 1 1
31.23, 51, 1 0 0
58.36, 30, 2 1 1
47.30, 28, 1 2 -1
73.20, 25, 2 3 1


Structure and computed XRD peak list of Tl2CdH6 (a DFT-relaxed cell (GGA-PBE, Alexandria); λ = 1.5418 Å (Cu Kα)).

Structural model:
a b c (Å): 5.6761 9.8583 4.3421
angles (deg): 90.00 90.10 90.00
Space group C2/m (No. 12)
One atom of each set of equivalent atoms:
Tl 0.0000 0.1666 0.0000
Cd 0.0000 0.5000 0.5000
H 0.1467 0.3534 0.2646
H 0.2053 0.0000 0.2629

Largest 12 diffraction maxima, in order of falling intensity, 10° ≤ 2θ ≤ 90°:
two_theta, I (rel.), (hkl)
27.39, 100, 1 1 1
31.48, 92, 2 0 0
53.07, 36, 1 3 -2
42.21, 31, 0 4 1
37.82, 30, 1 3 1
20.45, 27, 0 0 1
53.57, 26, 2 4 -1
41.60, 14, 0 0 2
56.09, 12, 3 3 0
72.11, 11, 0 6 2
18.02, 9, 1 1 0
80.80, 9, 2 6 2